Calculated XRD peak list of Ba5Ga2Pb5 for Cu Kα, from a crystal structure in Alexandria, relaxed with GGA-PBE.

Main lines, most intense first (15° ≤ 2θ ≤ 90°):
| two_theta | I_rel |
| --- | --- |
| 26.6 | 100 |
| 34.8 | 80 |
| 27.2 | 61 |
| 28.3 | 52 |
| 35.7 | 48 |
| 29.1 | 48 |
| 40.2 | 36 |
| 50.8 | 34 |
| 54.8 | 28 |
| 49.2 | 27 |

Structure:
```
12
Lattice="9.325 -2.244 0.000 9.325 2.244 0.000 -7.927 0.000 11.043" Properties=species:S:1:pos:R:3 pbc="T T T"
Ba 0.000 0.000 0.000
Ba 2.466 0.000 4.544
Ba 5.662 0.000 2.096
Ba 5.061 0.000 8.947
Ba 8.256 0.000 6.499
Ga 1.159 0.000 8.252
Ga 9.564 0.000 2.791
Pb -3.964 0.000 5.521
Pb -1.184 0.000 3.596
Pb -1.276 0.000 9.631
Pb 11.998 0.000 1.411
Pb 11.906 0.000 7.446
```